Structure and theoretical powder diffraction line list of Li4ZnP2O8 (a crystal structure in the Materials Project, relaxed with GGA-PBE; Cu Kα X-rays).

Principal peaks in the range 2θ = 10–90°, by angle:
(1 0 0), 11.12 deg, 7.955 Å, I 31
(1 1 0), 14.02 deg, 6.317 Å, I 55
(1 1 -1), 16.07 deg, 5.514 Å, I 29
(0 2 1), 20.40 deg, 4.352 Å, I 35
(1 2 -1), 21.88 deg, 4.062 Å, I 82
(0 0 2), 22.37 deg, 3.974 Å, I 100
(2 1 0), 23.95 deg, 3.716 Å, I 68
(2 2 -2), 32.49 deg, 2.756 Å, I 72
(0 4 0), 34.48 deg, 2.601 Å, I 42
(2 0 2), 35.76 deg, 2.511 Å, I 52

Structure:
Cell lengths 8.222, 10.404, 8.209 Å; angles 90.00, 104.64, 90.00 degrees
Space group P2_1/c (No. 14)
Unique sites:
Li: 0.022 0.073 0.272 (multiplicity 4)
Li: 0.102 0.164 0.599 (multiplicity 4)
Li: 0.155 0.662 0.657 (multiplicity 4)
Li: 0.350 0.151 0.349 (multiplicity 4)
Zn: 0.408 0.657 0.409 (multiplicity 4)
P: 0.211 0.091 0.973 (multiplicity 4)
P: 0.268 0.593 0.034 (multiplicity 4)
O: 0.063 0.101 0.813 (multiplicity 4)
O: 0.117 0.655 0.088 (multiplicity 4)
O: 0.162 0.150 0.128 (multiplicity 4)
O: 0.225 0.047 0.478 (multiplicity 4)
O: 0.256 0.554 0.509 (multiplicity 4)
O: 0.305 0.670 0.884 (multiplicity 4)
O: 0.364 0.167 0.939 (multiplicity 4)
O: 0.428 0.603 0.185 (multiplicity 4)

---

Structure and theoretical powder diffraction line list of LiZr2P3O12 (a crystal structure in the Materials Project, relaxed with GGA-PBE; Cu Kα X-rays).

Principal peaks in the range 2θ = 10–90°, by angle:
(0 1 2), 13.92 deg, 6.362 Å, I 36
(1 0 4), 19.60 deg, 4.528 Å, I 100
(1 1 0), 19.87 deg, 4.469 Å, I 80
(1 1 3), 23.21 deg, 3.832 Å, I 91
(0 2 4), 28.05 deg, 3.181 Å, I 58
(1 1 6), 31.27 deg, 2.860 Å, I 57
(2 1 4), 34.61 deg, 2.592 Å, I 38
(3 0 0), 34.77 deg, 2.580 Å, I 37
(1 2 8), 44.88 deg, 2.020 Å, I 24
(4 1 0), 54.31 deg, 1.689 Å, I 26

Structure:
Cell lengths 8.9388, 8.9388, 22.3325 Å; angles 90.00, 90.00, 120.00 degrees
Space group R-3c (No. 167, hexagonal axes)
Unique sites:
Li: 0.0000 0.0000 0.0000 (multiplicity 6)
Zr: 0.0000 0.0000 0.1433 (multiplicity 12)
P: 0.0000 0.2936 0.2500 (multiplicity 18)
O: 0.0025 0.1953 0.1936 (multiplicity 36)
O: 0.0211 0.1913 0.9185 (multiplicity 36)

---

Structure and theoretical powder diffraction line list of LiZr2P3O12 (a crystal structure in the Materials Project, relaxed with GGA-PBE; Cu Kα X-rays).

Principal peaks in the range 2θ = 10–90°, by angle:
(0 1 1), 13.69 deg, 6.466 Å, I 24
(1 0 -1), 19.30 deg, 4.599 Å, I 100
(1 2 1), 19.90 deg, 4.461 Å, I 25
(2 1 1), 20.09 deg, 4.420 Å, I 25
(-1 1 1), 22.92 deg, 3.879 Å, I 25
(1 2 0), 23.20 deg, 3.834 Å, I 28
(0 2 2), 27.59 deg, 3.233 Å, I 25
(2 0 2), 27.88 deg, 3.200 Å, I 22
(1 -1 2), 30.77 deg, 2.906 Å, I 23
(2 1 -1), 30.96 deg, 2.888 Å, I 32

Structure:
Cell lengths 8.841, 8.925, 9.200 Å; angles 61.02, 61.39, 60.95 degrees
Space group P1 (No. 1)
Unique sites:
Li: 0.000 0.000 0.000 (multiplicity 1)
Li: 0.264 0.828 0.774 (multiplicity 1)
Zr: 0.040 0.370 0.822 (multiplicity 1)
Zr: 0.267 0.561 0.197 (multiplicity 1)
Zr: 0.538 0.853 0.327 (multiplicity 1)
Zr: 0.758 0.072 0.684 (multiplicity 1)
P: 0.151 0.163 0.527 (multiplicity 1)
P: 0.355 0.965 0.010 (multiplicity 1)
P: 0.448 0.461 0.499 (multiplicity 1)
P: 0.643 0.256 0.998 (multiplicity 1)
P: 0.868 0.740 0.509 (multiplicity 1)
P: 0.938 0.694 0.002 (multiplicity 1)
O: 0.034 0.722 0.341 (multiplicity 1)
O: 0.120 0.633 0.033 (multiplicity 1)
O: 0.121 0.162 0.708 (multiplicity 1)
O: 0.198 0.149 0.980 (multiplicity 1)
O: 0.208 0.325 0.376 (multiplicity 1)
O: 0.264 0.446 0.642 (multiplicity 1)
O: 0.294 0.828 0.004 (multiplicity 1)
O: 0.306 0.978 0.513 (multiplicity 1)
O: 0.373 0.906 0.189 (multiplicity 1)
O: 0.436 0.514 0.317 (multiplicity 1)
O: 0.489 0.433 0.023 (multiplicity 1)
O: 0.489 0.609 0.501 (multiplicity 1)
O: 0.538 0.973 0.865 (multiplicity 1)
O: 0.599 0.276 0.532 (multiplicity 1)
O: 0.600 0.090 0.156 (multiplicity 1)
O: 0.669 0.241 0.827 (multiplicity 1)
O: 0.691 0.803 0.470 (multiplicity 1)
O: 0.774 0.713 0.167 (multiplicity 1)
O: 0.826 0.250 0.991 (multiplicity 1)
O: 0.859 0.879 0.567 (multiplicity 1)
O: 0.888 0.553 0.655 (multiplicity 1)
O: 0.930 0.883 0.857 (multiplicity 1)
O: 0.948 0.555 0.942 (multiplicity 1)
O: 0.979 0.166 0.521 (multiplicity 1)

---

What is the formula in the first record? Li4ZnP2O8

---

Please write out number 3 again, unchanged.
Structure and theoretical powder diffraction line list of LiZr2P3O12 (a crystal structure in the Materials Project, relaxed with GGA-PBE; Cu Kα X-rays).

Principal peaks in the range 2θ = 10–90°, by angle:
(0 1 1), 13.69 deg, 6.466 Å, I 24
(1 0 -1), 19.30 deg, 4.599 Å, I 100
(1 2 1), 19.90 deg, 4.461 Å, I 25
(2 1 1), 20.09 deg, 4.420 Å, I 25
(-1 1 1), 22.92 deg, 3.879 Å, I 25
(1 2 0), 23.20 deg, 3.834 Å, I 28
(0 2 2), 27.59 deg, 3.233 Å, I 25
(2 0 2), 27.88 deg, 3.200 Å, I 22
(1 -1 2), 30.77 deg, 2.906 Å, I 23
(2 1 -1), 30.96 deg, 2.888 Å, I 32

Structure:
Cell lengths 8.841, 8.925, 9.200 Å; angles 61.02, 61.39, 60.95 degrees
Space group P1 (No. 1)
Unique sites:
Li: 0.000 0.000 0.000 (multiplicity 1)
Li: 0.264 0.828 0.774 (multiplicity 1)
Zr: 0.040 0.370 0.822 (multiplicity 1)
Zr: 0.267 0.561 0.197 (multiplicity 1)
Zr: 0.538 0.853 0.327 (multiplicity 1)
Zr: 0.758 0.072 0.684 (multiplicity 1)
P: 0.151 0.163 0.527 (multiplicity 1)
P: 0.355 0.965 0.010 (multiplicity 1)
P: 0.448 0.461 0.499 (multiplicity 1)
P: 0.643 0.256 0.998 (multiplicity 1)
P: 0.868 0.740 0.509 (multiplicity 1)
P: 0.938 0.694 0.002 (multiplicity 1)
O: 0.034 0.722 0.341 (multiplicity 1)
O: 0.120 0.633 0.033 (multiplicity 1)
O: 0.121 0.162 0.708 (multiplicity 1)
O: 0.198 0.149 0.980 (multiplicity 1)
O: 0.208 0.325 0.376 (multiplicity 1)
O: 0.264 0.446 0.642 (multiplicity 1)
O: 0.294 0.828 0.004 (multiplicity 1)
O: 0.306 0.978 0.513 (multiplicity 1)
O: 0.373 0.906 0.189 (multiplicity 1)
O: 0.436 0.514 0.317 (multiplicity 1)
O: 0.489 0.433 0.023 (multiplicity 1)
O: 0.489 0.609 0.501 (multiplicity 1)
O: 0.538 0.973 0.865 (multiplicity 1)
O: 0.599 0.276 0.532 (multiplicity 1)
O: 0.600 0.090 0.156 (multiplicity 1)
O: 0.669 0.241 0.827 (multiplicity 1)
O: 0.691 0.803 0.470 (multiplicity 1)
O: 0.774 0.713 0.167 (multiplicity 1)
O: 0.826 0.250 0.991 (multiplicity 1)
O: 0.859 0.879 0.567 (multiplicity 1)
O: 0.888 0.553 0.655 (multiplicity 1)
O: 0.930 0.883 0.857 (multiplicity 1)
O: 0.948 0.555 0.942 (multiplicity 1)
O: 0.979 0.166 0.521 (multiplicity 1)